Calculated powder X-ray diffraction pattern of RbCr2OsO8 for Cu Kα X-rays, from a cell relaxed with PBE+U.
Peak positions follow from Bragg's law for the DFT cell and can differ from measured ones.

Cell and atoms:
```
data_RbCr2OsO8
_cell_length_a 8.310
_cell_length_b 5.950
_cell_length_c 7.192
_cell_angle_alpha 90.00
_cell_angle_beta 107.71
_cell_angle_gamma 90.00
_symmetry_space_group_name_H-M 'C 1 2/m 1'
_symmetry_Int_Tables_number 12
_symmetry_space_group_name_Hall '-C 2y'
loop_
_atom_site_label
_atom_site_fract_x
_atom_site_fract_y
_atom_site_fract_z
Rb1 0.000 0.000 0.000
Cr1 0.049 0.500 0.217
Os1 0.000 0.000 0.500
O1 0.011 0.235 0.690
O2 0.148 0.500 0.028
O3 0.229 0.000 0.572
```

Main lines, sorted by position (2θ = 5–70°):
two_theta  I (rel.)
12.92  218
18.66  488
20.70  656
22.46  1000
29.22  907
30.04  467
34.96  497
37.83  224
39.25  255
40.15  213
52.09  218
56.58  221